[1]
This entry pairs a crystal structure of ScReB with its theoretical PXRD pattern. Radiation: Cu Ka. Structure: a DFT-relaxed cell (GGA-PBE, Alexandria).
Peak positions follow from Bragg's law for the DFT cell and can differ from measured ones.

Largest 10 diffraction maxima, in order of rising 2θ, 2θ = 15–90°:
d [Å]	2θ/deg	intensity
4.028	22.1	26
3.835	23.2	84
3.655	24.4	38
3.234	27.6	34
2.472	36.3	36
2.375	37.9	100
2.302	39.1	83
2.176	41.5	93
1.892	48.1	25
1.833	49.7	32

Cell and atoms:
```
ScReB
1.0
0.000 4.158 7.669
2.413 0.000 7.669
2.413 4.158 0.000
Sc Re B
4 4 4
Cartesian
0.603 1.039 0.623
0.603 1.039 3.212
4.224 7.276 12.127
4.224 7.276 14.716
1.810 1.703 5.752
3.017 3.782 9.587
1.810 4.533 5.752
3.017 6.612 9.587
1.810 3.118 3.859
1.810 3.118 7.645
3.017 5.197 7.694
3.017 5.197 11.480
```

***

[2]
This entry pairs a crystal structure of Sm2HgAu with its theoretical PXRD pattern. Radiation: Cu Ka. Structure: a DFT-relaxed cell (GGA-PBE, Alexandria).
Peak positions follow from Bragg's law for the DFT cell and can differ from measured ones.

Largest 9 diffraction maxima, in order of rising 2θ, 2θ = 15–90°:
d [Å]	2θ/deg	intensity
3.732	23.8	2
2.639	34.0	100
2.155	41.9	1
1.866	48.8	18
1.669	55.0	1
1.524	60.8	38
1.320	71.5	12
1.244	76.6	1
1.180	81.6	17

Cell and atoms:
```
Sm2HgAu
1.0
7.464 0.000 0.000
0.000 7.464 0.000
0.000 0.000 7.464
Sm Hg Au
8 4 4
Cartesian
1.866 1.866 1.866
1.866 1.866 5.598
1.866 5.598 1.866
1.866 5.598 5.598
5.598 1.866 1.866
5.598 1.866 5.598
5.598 5.598 1.866
5.598 5.598 5.598
0.000 0.000 0.000
0.000 3.732 3.732
3.732 0.000 3.732
3.732 3.732 0.000
0.000 0.000 3.732
0.000 3.732 0.000
3.732 0.000 0.000
3.732 3.732 3.732
```

***

[3]
This entry pairs a crystal structure of Tb15Tm2In2 with its theoretical PXRD pattern. Radiation: Cu Ka. Structure: a DFT-relaxed cell (GGA-PBE, Alexandria).
Peak positions follow from Bragg's law for the DFT cell and can differ from measured ones.

Largest 10 diffraction maxima, in order of rising 2θ, 2θ = 15–90°:
d [Å]	2θ/deg	intensity
3.318	26.9	17
3.194	27.9	26
3.170	28.1	24
2.874	31.1	30
2.792	32.1	62
2.776	32.2	100
2.745	32.6	56
2.477	36.3	64
1.594	57.9	19
1.585	58.2	22

Cell and atoms:
```
Tb15Tm2In2
1.0
5.491 3.170 5.749
-5.491 3.170 5.749
0.000 -6.340 5.749
Tb Tm In
15 2 2
Cartesian
-5.491 0.000 8.623
-1.605 -3.561 5.749
-2.745 1.585 2.874
-3.886 0.391 5.749
-2.634 -1.521 8.098
1.605 -3.561 5.749
-2.282 3.170 5.749
0.000 -3.042 9.149
-2.634 1.521 9.149
2.745 1.585 2.874
2.634 -1.521 8.098
0.000 3.042 8.098
3.886 0.391 5.749
2.282 3.170 5.749
2.634 1.521 9.149
0.000 0.000 5.481
0.000 0.000 11.765
0.000 0.000 1.641
0.000 0.000 15.606
```

***

[4]
This entry pairs a crystal structure of Ac4Se3O4 with its theoretical PXRD pattern. Radiation: Cu Ka. Structure: a DFT-relaxed cell (GGA-PBE, Alexandria).
Peak positions follow from Bragg's law for the DFT cell and can differ from measured ones.

Largest 10 diffraction maxima, in order of rising 2θ, 2θ = 15–90°:
d [Å]	2θ/deg	intensity
3.245	27.5	100
2.810	31.8	31
2.514	35.7	44
1.874	48.6	54
1.695	54.1	17
1.623	56.7	14
1.451	64.2	15
1.363	68.9	15
1.325	71.2	17
1.227	77.9	11

Cell and atoms:
```
Ac4Se3O4
1.0
-3.974 3.974 3.974
3.974 -3.974 3.974
3.974 3.974 -3.974
Ac Se O
4 3 4
Cartesian
1.381 1.381 -1.381
1.381 -1.381 1.381
-1.381 1.381 1.381
2.593 2.593 2.593
3.974 0.000 0.000
0.000 3.974 0.000
0.000 0.000 3.974
2.871 2.871 -2.871
2.871 -2.871 2.871
1.103 1.103 1.103
-2.871 2.871 2.871
```

***

[5]
This entry pairs a crystal structure of TbDy2Cu2Ge2 with its theoretical PXRD pattern. Radiation: Cu Ka. Structure: a DFT-relaxed cell (GGA-PBE, Alexandria).
Peak positions follow from Bragg's law for the DFT cell and can differ from measured ones.

Largest 10 diffraction maxima, in order of rising 2θ, 2θ = 15–90°:
d [Å]	2θ/deg	intensity
3.616	24.6	38
2.783	32.2	65
2.622	34.2	100
2.325	38.7	15
2.103	43.0	76
1.677	54.7	27
1.640	56.1	24
1.455	64.0	26
1.311	72.0	28
1.293	73.2	22

Cell and atoms:
```
TbDy2Cu2Ge2
1.0
2.103 1.214 10.071
-2.103 1.214 10.071
0.000 -2.428 10.071
Tb Dy Cu Ge
1 2 2 2
Cartesian
0.000 0.000 0.000
0.000 0.000 3.689
0.000 0.000 26.524
0.000 0.000 11.907
0.000 0.000 18.307
0.000 0.000 8.140
0.000 0.000 22.073
```

***

[6]
This entry pairs a crystal structure of Rb2ZrAgSe4 with its theoretical PXRD pattern. Radiation: Cu Ka. Structure: a DFT-relaxed cell (GGA-PBE, Alexandria).
Peak positions follow from Bragg's law for the DFT cell and can differ from measured ones.

Largest 10 diffraction maxima, in order of rising 2θ, 2θ = 15–90°:
d [Å]	2θ/deg	intensity
3.355	26.6	64
2.985	29.9	100
2.787	32.1	10
2.383	37.7	13
2.285	39.4	29
2.247	40.1	11
2.179	41.4	41
1.996	45.4	19
1.716	53.4	18
1.493	62.2	10

Cell and atoms:
```
Rb2ZrAgSe4
1.0
7.821 0.000 0.000
0.000 3.993 0.000
-3.190 0.000 7.731
Rb Zr Ag Se
2 1 1 4
Cartesian
0.000 0.000 0.000
3.911 1.996 0.000
-1.595 1.996 3.865
2.316 0.000 3.865
-0.782 0.000 5.505
0.961 1.996 2.710
3.670 1.996 5.021
5.413 0.000 2.226
```